For BaHg11, the GGA-PBE geometry in OQMD gives the theoretical powder XRD pattern in this record (Cu Kα).

The 12 most intense peaks (2θ from 5° to 70°), low angle first:
2θ = 13.03°, I 11; 2θ = 28.24°, I 20; 2θ = 31.74°, I 81; 2θ = 32.38°, I 42; 2θ = 33.84°, I 21; 2θ = 36.92°, I 32; 2θ = 38.03°, I 100; 2θ = 39.41°, I 25; 2θ = 57.36°, I 25; 2θ = 61.53°, I 17; 2θ = 63.37°, I 10; 2θ = 67.79°, I 15

Structure:
Cell lengths 9.642, 9.642, 9.642 Å; angles 100.25, 100.25, 130.10 degrees
Fractional coordinates of all 24 atoms:
Ba (0.375, 0.625, 0.750)
Ba (0.625, 0.375, 0.250)
Hg (0.000, 0.000, 0.000)
Hg (0.000, 0.000, 0.500)
Hg (0.000, 0.500, 0.000)
Hg (0.110, 0.544, 0.326)
Hg (0.110, 0.784, 0.566)
Hg (0.125, 0.875, 0.250)
Hg (0.216, 0.282, 0.326)
Hg (0.216, 0.890, 0.934)
Hg (0.282, 0.216, 0.826)
Hg (0.282, 0.456, 0.066)
Hg (0.456, 0.282, 0.566)
Hg (0.456, 0.890, 0.174)
Hg (0.500, 0.000, 0.500)
Hg (0.544, 0.110, 0.826)
Hg (0.544, 0.718, 0.434)
Hg (0.718, 0.544, 0.934)
Hg (0.718, 0.784, 0.174)
Hg (0.784, 0.110, 0.066)
Hg (0.784, 0.718, 0.674)
Hg (0.875, 0.125, 0.750)
Hg (0.890, 0.216, 0.434)
Hg (0.890, 0.456, 0.674)

***

For BaHg11, the GGA-PBE geometry in OQMD gives the theoretical powder XRD pattern in this record (Cu Kα).

The 12 most intense peaks (2θ from 5° to 70°), low angle first:
2θ = 28.99°, I 27; 2θ = 30.44°, I 53; 2θ = 31.83°, I 55; 2θ = 33.16°, I 33; 2θ = 38.09°, I 100; 2θ = 39.24°, I 64; 2θ = 42.53°, I 39; 2θ = 53.20°, I 16; 2θ = 54.97°, I 13; 2θ = 56.71°, I 13; 2θ = 60.90°, I 34; 2θ = 63.34°, I 13

Structure:
Cell lengths 9.740, 9.740, 9.740 Å; angles 90.00, 90.00, 90.00 degrees
Fractional coordinates of all 36 atoms:
Ba (0.000, 0.000, 0.500)
Ba (0.000, 0.500, 0.000)
Ba (0.500, 0.000, 0.000)
Hg (0.000, 0.345, 0.345)
Hg (0.000, 0.345, 0.655)
Hg (0.000, 0.655, 0.345)
Hg (0.000, 0.655, 0.655)
Hg (0.154, 0.154, 0.154)
Hg (0.154, 0.154, 0.846)
Hg (0.154, 0.846, 0.154)
Hg (0.154, 0.846, 0.846)
Hg (0.268, 0.268, 0.500)
Hg (0.268, 0.500, 0.268)
Hg (0.268, 0.500, 0.732)
Hg (0.268, 0.732, 0.500)
Hg (0.345, 0.000, 0.345)
Hg (0.345, 0.000, 0.655)
Hg (0.345, 0.345, 0.000)
Hg (0.345, 0.655, 0.000)
Hg (0.500, 0.268, 0.268)
Hg (0.500, 0.268, 0.732)
Hg (0.500, 0.500, 0.500)
Hg (0.500, 0.732, 0.268)
Hg (0.500, 0.732, 0.732)
Hg (0.655, 0.000, 0.345)
Hg (0.655, 0.000, 0.655)
Hg (0.655, 0.345, 0.000)
Hg (0.655, 0.655, 0.000)
Hg (0.732, 0.268, 0.500)
Hg (0.732, 0.500, 0.268)
Hg (0.732, 0.500, 0.732)
Hg (0.732, 0.732, 0.500)
Hg (0.846, 0.154, 0.154)
Hg (0.846, 0.154, 0.846)
Hg (0.846, 0.846, 0.154)
Hg (0.846, 0.846, 0.846)

***

For BaInHg, the GGA-PBE geometry in OQMD gives the theoretical powder XRD pattern in this record (Cu Kα).

The 12 most intense peaks (2θ from 5° to 70°), low angle first:
2θ = 14.76°, I 24; 2θ = 28.35°, I 56; 2θ = 28.69°, I 41; 2θ = 28.84°, I 43; 2θ = 29.15°, I 85; 2θ = 32.95°, I 28; 2θ = 33.56°, I 26; 2θ = 34.23°, I 66; 2θ = 35.22°, I 100; 2θ = 55.13°, I 21; 2θ = 56.77°, I 24; 2θ = 60.48°, I 23

Structure:
Cell lengths 6.552, 6.552, 8.499 Å; angles 128.91, 128.91, 47.14 degrees
Fractional coordinates of all 6 atoms:
Ba (0.043, 0.043, 0.304)
Ba (0.957, 0.957, 0.696)
In (0.340, 0.340, 0.902)
In (0.660, 0.660, 0.098)
Hg (0.329, 0.329, 0.275)
Hg (0.671, 0.671, 0.725)

***

For KBaHg4, the GGA-PBE geometry in OQMD gives the theoretical powder XRD pattern in this record (Cu Kα).

The 12 most intense peaks (2θ from 5° to 70°), low angle first:
2θ = 14.67°, I 39; 2θ = 21.61°, I 35; 2θ = 28.10°, I 48; 2θ = 29.02°, I 85; 2θ = 29.59°, I 35; 2θ = 32.95°, I 63; 2θ = 34.23°, I 51; 2θ = 34.45°, I 100; 2θ = 41.04°, I 38; 2θ = 42.14°, I 37; 2θ = 48.25°, I 40; 2θ = 55.87°, I 40

Structure:
Cell lengths 6.639, 6.639, 6.639 Å; angles 131.67, 103.47, 95.87 degrees
Fractional coordinates of all 6 atoms:
K (0.000, 0.000, 0.000)
Ba (0.592, 0.092, 0.500)
Hg (0.015, 0.713, 0.302)
Hg (0.191, 0.382, 0.809)
Hg (0.411, 0.713, 0.698)
Hg (0.573, 0.382, 0.191)

***

For KBaHg6, the GGA-PBE geometry in OQMD gives the theoretical powder XRD pattern in this record (Cu Kα).

The 12 most intense peaks (2θ from 5° to 70°), low angle first:
2θ = 14.02°, I 14; 2θ = 21.46°, I 3; 2θ = 28.25°, I 20; 2θ = 32.71°, I 100; 2θ = 35.71°, I 3; 2θ = 41.23°, I 8; 2θ = 43.73°, I 12; 2θ = 46.18°, I 5; 2θ = 50.02°, I 15; 2θ = 58.35°, I 18; 2θ = 61.04°, I 27; 2θ = 64.24°, I 5

Structure:
Cell lengths 7.294, 7.294, 5.482 Å; angles 90.00, 90.00, 120.00 degrees
Fractional coordinates of all 8 atoms:
K (0.000, 0.000, 0.000)
Ba (0.667, 0.333, 0.500)
Hg (0.034, 0.517, 0.000)
Hg (0.179, 0.358, 0.500)
Hg (0.179, 0.821, 0.500)
Hg (0.483, 0.517, 0.000)
Hg (0.483, 0.966, 0.000)
Hg (0.642, 0.821, 0.500)

***

For BaLiHg, the GGA-PBE geometry in OQMD gives the theoretical powder XRD pattern in this record (Cu Kα).

The 12 most intense peaks (2θ from 5° to 70°), low angle first:
2θ = 7.59°, I 17; 2θ = 15.21°, I 18; 2θ = 22.14°, I 19; 2θ = 23.43°, I 38; 2θ = 31.51°, I 54; 2θ = 32.06°, I 100; 2θ = 35.16°, I 10; 2θ = 44.56°, I 11; 2θ = 45.16°, I 20; 2θ = 56.46°, I 40; 2θ = 57.50°, I 17; 2θ = 67.05°, I 11

Structure:
Cell lengths 4.015, 4.015, 11.652 Å; angles 90.00, 90.00, 90.00 degrees
Fractional coordinates of all 6 atoms:
Ba (0.000, 0.000, 0.179)
Ba (0.000, 0.000, 0.821)
Li (0.500, 0.500, 0.391)
Li (0.500, 0.500, 0.609)
Hg (0.000, 0.000, 0.500)
Hg (0.500, 0.500, 0.000)

***

For Ba2Li2Hg3, the GGA-PBE geometry in OQMD gives the theoretical powder XRD pattern in this record (Cu Kα).

The 12 most intense peaks (2θ from 5° to 70°), low angle first:
2θ = 10.46°, I 25; 2θ = 18.53°, I 16; 2θ = 19.50°, I 35; 2θ = 21.02°, I 22; 2θ = 23.01°, I 30; 2θ = 30.74°, I 16; 2θ = 31.78°, I 100; 2θ = 33.72°, I 76; 2θ = 38.41°, I 28; 2θ = 47.01°, I 30; 2θ = 56.62°, I 20; 2θ = 57.86°, I 33

Structure:
Cell lengths 9.058, 9.058, 9.058 Å; angles 36.22, 36.22, 36.22 degrees
Fractional coordinates of all 7 atoms:
Ba (0.000, 0.000, 0.000)
Ba (0.487, 0.487, 0.487)
Li (0.243, 0.243, 0.243)
Li (0.736, 0.736, 0.736)
Hg (0.355, 0.355, 0.355)
Hg (0.621, 0.621, 0.621)
Hg (0.865, 0.865, 0.865)

***

For BaMgHgPb2, the GGA-PBE geometry in OQMD gives the theoretical powder XRD pattern in this record (Cu Kα).

The 12 most intense peaks (2θ from 5° to 70°), low angle first:
2θ = 14.07°, I 22; 2θ = 27.69°, I 16; 2θ = 28.37°, I 10; 2θ = 28.84°, I 100; 2θ = 35.71°, I 41; 2θ = 38.19°, I 27; 2θ = 40.06°, I 12; 2θ = 46.22°, I 11; 2θ = 51.39°, I 15; 2θ = 54.73°, I 10; 2θ = 60.00°, I 26; 2θ = 65.80°, I 11

Structure:
Cell lengths 7.228, 7.228, 7.228 Å; angles 139.29, 139.29, 58.94 degrees
Fractional coordinates of all 5 atoms:
Ba (0.000, 0.000, 0.000)
Mg (0.370, 0.370, 0.000)
Hg (0.586, 0.586, 0.000)
Pb (0.241, 0.741, 0.500)
Pb (0.741, 0.241, 0.500)

***

For BaHgNO, the GGA-PBE geometry in OQMD gives the theoretical powder XRD pattern in this record (Cu Kα).

The 12 most intense peaks (2θ from 5° to 70°), low angle first:
2θ = 17.23°, I 17; 2θ = 25.36°, I 59; 2θ = 27.72°, I 100; 2θ = 29.17°, I 55; 2θ = 37.92°, I 98; 2θ = 39.03°, I 43; 2θ = 48.09°, I 16; 2θ = 50.83°, I 22; 2θ = 57.25°, I 13; 2θ = 57.64°, I 25; 2θ = 60.02°, I 18; 2θ = 63.60°, I 17

Structure:
Cell lengths 7.566, 7.024, 6.123 Å; angles 90.00, 90.00, 90.00 degrees
Fractional coordinates of all 16 atoms:
Ba (0.101, 0.243, 0.000)
Ba (0.399, 0.243, 0.500)
Ba (0.601, 0.757, 0.000)
Ba (0.899, 0.757, 0.500)
Hg (0.140, 0.719, 0.980)
Hg (0.360, 0.719, 0.480)
Hg (0.640, 0.281, 0.980)
Hg (0.860, 0.281, 0.480)
N (0.058, 0.100, 0.561)
N (0.442, 0.100, 0.061)
N (0.558, 0.900, 0.561)
N (0.942, 0.900, 0.061)
O (0.171, 0.531, 0.362)
O (0.329, 0.531, 0.862)
O (0.671, 0.469, 0.362)
O (0.829, 0.469, 0.862)

***

For BaNdHg6, the GGA-PBE geometry in OQMD gives the theoretical powder XRD pattern in this record (Cu Kα).

The 12 most intense peaks (2θ from 5° to 70°), low angle first:
2θ = 14.81°, I 3; 2θ = 22.68°, I 1; 2θ = 29.87°, I 20; 2θ = 34.60°, I 100; 2θ = 43.66°, I 3; 2θ = 45.49°, I 1; 2θ = 46.31°, I 12; 2θ = 53.03°, I 16; 2θ = 58.35°, I 1; 2θ = 61.94°, I 15; 2θ = 62.06°, I 2; 2θ = 64.86°, I 30

Structure:
Cell lengths 6.907, 6.907, 5.193 Å; angles 90.00, 90.00, 120.00 degrees
Fractional coordinates of all 8 atoms:
Ba (0.000, 0.000, 0.000)
Nd (0.333, 0.667, 0.500)
Hg (0.001, 0.501, 0.000)
Hg (0.360, 0.180, 0.500)
Hg (0.499, 0.501, 0.000)
Hg (0.499, 0.999, 0.000)
Hg (0.820, 0.180, 0.500)
Hg (0.820, 0.640, 0.500)

***

For BaHgO2, the GGA-PBE geometry in OQMD gives the theoretical powder XRD pattern in this record (Cu Kα).

The 12 most intense peaks (2θ from 5° to 70°), low angle first:
2θ = 16.53°, I 29; 2θ = 26.13°, I 45; 2θ = 28.57°, I 38; 2θ = 29.73°, I 100; 2θ = 30.96°, I 96; 2θ = 33.42°, I 23; 2θ = 37.19°, I 23; 2θ = 45.92°, I 18; 2θ = 47.55°, I 45; 2θ = 48.23°, I 29; 2θ = 53.46°, I 28; 2θ = 61.73°, I 35

Structure:
Cell lengths 6.856, 6.856, 12.498 Å; angles 90.00, 90.00, 120.00 degrees
Fractional coordinates of all 24 atoms:
Ba (0.000, 0.000, 0.000)
Ba (0.000, 0.000, 0.500)
Ba (0.333, 0.667, 0.034)
Ba (0.333, 0.667, 0.466)
Ba (0.667, 0.333, 0.534)
Ba (0.667, 0.333, 0.966)
Hg (0.174, 0.348, 0.750)
Hg (0.174, 0.826, 0.750)
Hg (0.348, 0.174, 0.250)
Hg (0.652, 0.826, 0.750)
Hg (0.826, 0.174, 0.250)
Hg (0.826, 0.652, 0.250)
O (0.034, 0.351, 0.610)
O (0.034, 0.683, 0.890)
O (0.317, 0.351, 0.890)
O (0.317, 0.966, 0.610)
O (0.351, 0.034, 0.390)
O (0.351, 0.317, 0.110)
O (0.649, 0.683, 0.610)
O (0.649, 0.966, 0.890)
O (0.683, 0.034, 0.110)
O (0.683, 0.649, 0.390)
O (0.966, 0.317, 0.390)
O (0.966, 0.649, 0.110)

***

For Ba2Hg3Pd7O14, the GGA-PBE geometry in OQMD gives the theoretical powder XRD pattern in this record (Cu Kα).

The 12 most intense peaks (2θ from 5° to 70°), low angle first:
2θ = 16.49°, I 41; 2θ = 28.61°, I 25; 2θ = 29.30°, I 24; 2θ = 32.34°, I 37; 2θ = 32.95°, I 44; 2θ = 33.28°, I 100; 2θ = 33.48°, I 76; 2θ = 37.12°, I 43; 2θ = 37.80°, I 26; 2θ = 47.27°, I 33; 2θ = 53.71°, I 25; 2θ = 60.29°, I 36

Structure:
Cell lengths 6.142, 6.142, 11.075 Å; angles 90.44, 90.44, 61.07 degrees
Fractional coordinates of all 26 atoms:
Ba (0.005, 0.005, 0.294)
Ba (0.995, 0.995, 0.706)
Hg (0.325, 0.325, 0.806)
Hg (0.500, 0.500, 0.500)
Hg (0.675, 0.675, 0.194)
Pd (0.000, 0.500, 0.000)
Pd (0.000, 0.500, 0.500)
Pd (0.332, 0.332, 0.222)
Pd (0.500, 0.000, 0.000)
Pd (0.500, 0.000, 0.500)
Pd (0.500, 0.500, 0.000)
Pd (0.668, 0.668, 0.778)
O (0.016, 0.483, 0.317)
O (0.133, 0.133, 0.506)
O (0.185, 0.185, 0.101)
O (0.189, 0.630, 0.104)
O (0.370, 0.811, 0.896)
O (0.483, 0.016, 0.317)
O (0.495, 0.495, 0.314)
O (0.505, 0.505, 0.686)
O (0.517, 0.984, 0.683)
O (0.630, 0.189, 0.104)
O (0.811, 0.370, 0.896)
O (0.815, 0.815, 0.899)
O (0.867, 0.867, 0.494)
O (0.984, 0.517, 0.683)